Entry 1:
Diffraction record for CaCuSi2O6. The powder XRD pattern is simulated, not measured: it uses a structure optimized by DFT (GGA-PBE) and Cu Kα.

Atomic structure:
```
data_CaCuSi2O6
_chemical_formula_sum 'Ca4 Cu4 Si8 O24'
_space_group_name_H-M_alt 'C 1 2/c 1'
_space_group_IT_number 15
_cell_length_a 9.916
_cell_length_b 9.045
_cell_length_c 5.284
_cell_angle_alpha 90.00
_cell_angle_beta 106.47
_cell_angle_gamma 90.00
loop_
_space_group_symop_operation_xyz
'x,y,z'
'-x,-y,-z'
'-x,y,-z+1/2'
'x,-y,z+1/2'
'x+1/2,y+1/2,z'
'-x+1/2,-y+1/2,-z'
'-x+1/2,y+1/2,-z+1/2'
'x+1/2,-y+1/2,z+1/2'
loop_
_atom_site_label
_atom_site_type_symbol
_atom_site_fract_x
_atom_site_fract_y
_atom_site_fract_z
Ca1 Ca 0.000 0.204 0.250
Cu1 Cu 0.000 0.406 0.750
Si1 Si 0.213 0.093 0.773
O1 O 0.116 0.412 0.140
O2 O 0.140 0.249 0.679
O3 O 0.149 0.019 0.007
```

Principal peaks in the range 10 to 80 degrees two-theta, in order of rising 2θ:
13.51 deg, intensity 36.6, hkl 1 1 0; 29.43 deg, intensity 100.0, hkl 2 2 -1; 29.87 deg, intensity 41.5, hkl 3 1 0; 34.53 deg, intensity 41.2, hkl 1 3 -1; 35.42 deg, intensity 87.8, hkl 0 0 2; 41.70 deg, intensity 27.1, hkl 3 3 -1; 51.42 deg, intensity 17.4, hkl 1 5 0; 55.65 deg, intensity 16.6, hkl 5 3 -1; 56.17 deg, intensity 22.4, hkl 2 2 -3; 64.89 deg, intensity 18.2, hkl 5 3 1

---

Entry 2:
Diffraction record for CaCu2Sn2O8. The powder XRD pattern is simulated, not measured: it uses a structure optimized by DFT (GGA-PBE) and Cu Kα.

Atomic structure:
```
data_CaCu2Sn2O8
_chemical_formula_sum 'Ca4 Cu8 Sn8 O32'
_space_group_name_H-M_alt 'P 1 21/c 1'
_space_group_IT_number 14
_cell_length_a 6.317
_cell_length_b 9.006
_cell_length_c 12.969
_cell_angle_alpha 90.00
_cell_angle_beta 94.00
_cell_angle_gamma 90.00
loop_
_space_group_symop_operation_xyz
'x,y,z'
'-x,-y,-z'
'-x,y+1/2,-z+1/2'
'x,-y+1/2,z+1/2'
loop_
_atom_site_label
_atom_site_type_symbol
_atom_site_fract_x
_atom_site_fract_y
_atom_site_fract_z
Ca1 Ca 0.123 0.169 0.485
Cu1 Cu 0.264 0.693 0.833
Cu2 Cu 0.390 0.060 0.878
Sn1 Sn 0.087 0.047 0.173
Sn2 Sn 0.437 0.576 0.153
O1 O 0.016 0.241 0.646
O2 O 0.106 0.109 0.887
O3 O 0.196 0.562 0.051
O4 O 0.215 0.017 0.322
O5 O 0.301 0.608 0.295
O6 O 0.335 0.005 0.091
O7 O 0.451 0.250 0.424
O8 O 0.459 0.148 0.674
```

Principal peaks in the range 10 to 80 degrees two-theta, in order of rising 2θ:
13.69 deg, intensity 44.7, hkl 0 0 2; 19.72 deg, intensity 47.1, hkl 0 2 0; 22.64 deg, intensity 61.7, hkl 1 1 2; 26.16 deg, intensity 100.0, hkl 1 1 -3; 27.57 deg, intensity 55.6, hkl 0 0 4; 27.70 deg, intensity 33.3, hkl 1 1 3; 30.39 deg, intensity 53.0, hkl 2 1 -1; 31.33 deg, intensity 63.9, hkl 2 1 1; 35.53 deg, intensity 35.2, hkl 1 3 -2; 40.68 deg, intensity 29.9, hkl 0 4 1

---

Entry 3:
Diffraction record for CaCu3Sn4O12. The powder XRD pattern is simulated, not measured: it uses a structure optimized by DFT (GGA-PBE) and Cu Kα.

Atomic structure:
```
data_CaCu3Sn4O12
_chemical_formula_sum 'Ca2 Cu6 Sn8 O24'
_space_group_name_H-M_alt 'I m -3'
_space_group_IT_number 204
_space_group_name_Hall '-I 2 2 3'
_cell_length_a 7.767
_cell_length_b 7.767
_cell_length_c 7.767
_cell_angle_alpha 90.00
_cell_angle_beta 90.00
_cell_angle_gamma 90.00
loop_
_atom_site_label
_atom_site_type_symbol
_atom_site_fract_x
_atom_site_fract_y
_atom_site_fract_z
Ca1 Ca 0.000 0.000 0.000
Cu1 Cu 0.000 0.000 0.500
Sn1 Sn 0.250 0.250 0.250
O1 O 0.000 0.307 0.170
```

Principal peaks in the range 10 to 80 degrees two-theta, in order of rising 2θ:
22.90 deg, intensity 16.6, hkl 2 0 0; 32.61 deg, intensity 100.0, hkl 2 2 0; 36.59 deg, intensity 2.4, hkl 3 1 0; 40.22 deg, intensity 2.2, hkl 2 2 2; 46.79 deg, intensity 24.2, hkl 4 0 0; 52.71 deg, intensity 9.5, hkl 4 2 0; 58.19 deg, intensity 49.4, hkl 4 2 2; 68.32 deg, intensity 13.3, hkl 4 4 0; 73.11 deg, intensity 3.2, hkl 4 4 2; 77.77 deg, intensity 18.5, hkl 6 2 0

---

Entry 4:
Diffraction record for Sr3CaCu2O6. The powder XRD pattern is simulated, not measured: it uses a structure optimized by DFT (GGA-PBE) and Cu Kα.

Atomic structure:
```
data_Sr3CaCu2O6
_chemical_formula_sum 'Sr6 Ca2 Cu4 O12'
_space_group_name_H-M_alt 'C 1 m 1'
_space_group_IT_number 8
_cell_length_a 13.029
_cell_length_b 3.937
_cell_length_c 6.967
_cell_angle_alpha 90.00
_cell_angle_beta 105.50
_cell_angle_gamma 90.00
loop_
_space_group_symop_operation_xyz
'x,y,z'
'x,-y,z'
'x+1/2,y+1/2,z'
'x+1/2,-y+1/2,z'
loop_
_atom_site_label
_atom_site_type_symbol
_atom_site_fract_x
_atom_site_fract_y
_atom_site_fract_z
Sr1 Sr 0.000 0.000 0.000
Sr2 Sr 0.001 0.000 0.495
Sr3 Sr 0.205 0.500 0.850
Ca1 Ca 0.207 0.500 0.350
Cu1 Cu 0.351 0.000 0.667
Cu2 Cu 0.353 0.000 0.180
O1 O 0.007 0.500 0.751
O2 O 0.012 0.500 0.253
O3 O 0.197 0.000 0.107
O4 O 0.197 0.000 0.585
O5 O 0.349 0.500 0.179
O6 O 0.349 0.500 0.664
```

Principal peaks in the range 10 to 80 degrees two-theta, in order of rising 2θ:
31.19 deg, intensity 59.9, hkl 3 1 0; 33.47 deg, intensity 72.7, hkl 2 0 2; 34.38 deg, intensity 100.0, hkl 1 1 -2; 43.24 deg, intensity 23.7, hkl 6 0 0; 45.19 deg, intensity 15.4, hkl 3 1 2; 46.11 deg, intensity 26.9, hkl 0 2 0; 52.54 deg, intensity 17.4, hkl 2 0 -4; 56.36 deg, intensity 33.0, hkl 5 1 2; 58.17 deg, intensity 28.9, hkl 2 2 2; 62.38 deg, intensity 17.5, hkl 1 1 4